Record 1
Computed X-ray diffraction stick pattern
Compound: LiEu2CI3N2
Radiation: a wavelength of 1.5418 Å
Structure: a cell relaxed with PBE
Neutral-atom scattering factors, no anomalous dispersion.

Crystal structure
Unit cell a=10.800 b=10.800 c=10.800 alpha=60.00 beta=60.00 gamma=60.00
Positions (direct):
1 Li 0.000 0.000 0.000
2 Li 0.000 0.000 0.500
3 Li 0.000 0.500 0.000
4 Li 0.500 0.000 0.000
5 Eu 0.283 0.283 0.283
6 Eu 0.283 0.283 0.650
7 Eu 0.283 0.650 0.283
8 Eu 0.350 0.717 0.717
9 Eu 0.650 0.283 0.283
10 Eu 0.717 0.350 0.717
11 Eu 0.717 0.717 0.350
12 Eu 0.717 0.717 0.717
13 C 0.000 0.500 0.500
14 C 0.500 0.000 0.500
15 C 0.500 0.500 0.000
16 C 0.500 0.500 0.500
17 I 0.075 0.075 0.675
18 I 0.075 0.675 0.075
19 I 0.075 0.675 0.675
20 I 0.325 0.325 0.925
21 I 0.325 0.925 0.325
22 I 0.325 0.925 0.925
23 I 0.675 0.075 0.075
24 I 0.675 0.075 0.675
25 I 0.675 0.675 0.075
26 I 0.925 0.325 0.325
27 I 0.925 0.325 0.925
28 I 0.925 0.925 0.325
29 N 0.141 0.453 0.453
30 N 0.453 0.141 0.453
31 N 0.453 0.453 0.141
32 N 0.453 0.453 0.453
33 N 0.547 0.547 0.547
34 N 0.547 0.547 0.859
35 N 0.547 0.859 0.547
36 N 0.859 0.547 0.547

Most intense lines, 2θ from 5° to 70°, most intense first:
- 2θ 30.41, I 1000
- 2θ 50.72, I 343
- 2θ 33.18, I 329
- 2θ 28.63, I 307
- 2θ 45.62, I 235
- 2θ 20.14, I 225
- 2θ 60.29, I 150
- 2θ 62.94, I 148
- 2θ 51.84, I 112
- 2θ 55.11, I 90
- 2θ 61.96, I 90
- 2θ 35.26, I 79


Record 2
Computed X-ray diffraction stick pattern
Compound: NdMg3
Radiation: a wavelength of 1.5418 Å
Structure: a cell relaxed with PBE
Neutral-atom scattering factors, no anomalous dispersion.

Crystal structure
Unit cell a=7.418 b=7.418 c=7.418 alpha=90.00 beta=90.00 gamma=90.00
Positions (direct):
1 Nd 0.000 0.000 0.000
2 Nd 0.000 0.500 0.500
3 Nd 0.500 0.000 0.500
4 Nd 0.500 0.500 0.000
5 Mg 0.000 0.000 0.500
6 Mg 0.000 0.500 0.000
7 Mg 0.250 0.250 0.250
8 Mg 0.250 0.250 0.750
9 Mg 0.250 0.750 0.250
10 Mg 0.250 0.750 0.750
11 Mg 0.500 0.000 0.000
12 Mg 0.500 0.500 0.500
13 Mg 0.750 0.250 0.250
14 Mg 0.750 0.250 0.750
15 Mg 0.750 0.750 0.250
16 Mg 0.750 0.750 0.750

Most intense lines, 2θ from 5° to 70°, most intense first:
- 2θ 34.19, I 1000
- 2θ 20.74, I 664
- 2θ 40.32, I 364
- 2θ 61.21, I 362
- 2θ 23.99, I 352
- 2θ 49.13, I 177
- 2θ 53.87, I 158
- 2θ 55.39, I 145
- 2θ 65.37, I 118
- 2θ 42.20, I 107


Record 3
Computed X-ray diffraction stick pattern
Compound: SrBiO3
Radiation: a wavelength of 1.5418 Å
Structure: a cell relaxed with PBE
Neutral-atom scattering factors, no anomalous dispersion.

Crystal structure
Unit cell a=6.011 b=6.204 c=10.490 alpha=90.00 beta=124.92 gamma=90.00
Positions (direct):
1 Sr 0.237 0.051 0.251
2 Sr 0.237 0.449 0.751
3 Sr 0.763 0.551 0.249
4 Sr 0.763 0.949 0.749
5 Bi 0.000 0.000 0.500
6 Bi 0.000 0.500 0.000
7 Bi 0.500 0.000 0.000
8 Bi 0.500 0.500 0.500
9 O 0.129 0.212 0.940
10 O 0.129 0.288 0.440
11 O 0.237 0.693 0.946
12 O 0.237 0.807 0.446
13 O 0.346 0.045 0.739
14 O 0.346 0.455 0.239
15 O 0.654 0.545 0.761
16 O 0.654 0.955 0.261
17 O 0.763 0.193 0.554
18 O 0.763 0.307 0.054
19 O 0.871 0.712 0.560
20 O 0.871 0.788 0.060

Most intense lines, 2θ from 5° to 70°, most intense first:
- 2θ 29.31, I 1000
- 2θ 20.60, I 391
- 2θ 28.78, I 240
- 2θ 52.50, I 238
- 2θ 29.72, I 233
- 2θ 41.85, I 231
- 2θ 51.33, I 186
- 2θ 60.80, I 137
- 2θ 42.02, I 125
- 2θ 52.31, I 116
- 2θ 51.73, I 114
- 2θ 69.03, I 102


Record 4
Computed X-ray diffraction stick pattern
Compound: Ho3Si
Radiation: a wavelength of 1.5418 Å
Structure: a cell relaxed with PBE
Neutral-atom scattering factors, no anomalous dispersion.

Crystal structure
Unit cell a=6.621 b=6.621 c=5.178 alpha=90.00 beta=90.00 gamma=120.00
Positions (direct):
1 Ho 0.175 0.350 0.250
2 Ho 0.175 0.825 0.250
3 Ho 0.350 0.175 0.750
4 Ho 0.650 0.825 0.250
5 Ho 0.825 0.175 0.750
6 Ho 0.825 0.650 0.750
7 Si 0.333 0.667 0.750
8 Si 0.667 0.333 0.250

Most intense lines, 2θ from 5° to 70°, most intense first:
- 2θ 35.80, I 1000
- 2θ 23.15, I 270
- 2θ 34.65, I 248
- 2θ 31.20, I 241
- 2θ 55.53, I 208
- 2θ 67.12, I 206
- 2θ 62.85, I 196
- 2θ 47.31, I 152
- 2θ 67.84, I 147
- 2θ 26.93, I 89
- 2θ 41.68, I 51
- 2θ 44.42, I 48


Record 5
Computed X-ray diffraction stick pattern
Compound: Eu2Zr2O7
Radiation: a wavelength of 1.5418 Å
Structure: a cell relaxed with PBE
Neutral-atom scattering factors, no anomalous dispersion.

Crystal structure
Unit cell a=7.657 b=7.657 c=7.657 alpha=60.00 beta=60.00 gamma=60.00
Positions (direct):
1 Eu 0.000 0.000 0.000
2 Eu 0.000 0.000 0.500
3 Eu 0.000 0.500 0.000
4 Eu 0.500 0.000 0.000
5 Zr 0.000 0.500 0.500
6 Zr 0.500 0.000 0.500
7 Zr 0.500 0.500 0.000
8 Zr 0.500 0.500 0.500
9 O 0.125 0.125 0.125
10 O 0.165 0.165 0.585
11 O 0.165 0.585 0.165
12 O 0.165 0.585 0.585
13 O 0.415 0.415 0.835
14 O 0.415 0.835 0.415
15 O 0.415 0.835 0.835
16 O 0.585 0.165 0.165
17 O 0.585 0.165 0.585
18 O 0.585 0.585 0.165
19 O 0.835 0.415 0.415
20 O 0.835 0.415 0.835
21 O 0.835 0.835 0.415
22 O 0.875 0.875 0.875

Most intense lines, 2θ from 5° to 70°, most intense first:
- 2θ 28.56, I 1000
- 2θ 47.50, I 489
- 2θ 56.36, I 436
- 2θ 33.09, I 318
- 2θ 59.11, I 98
- 2θ 69.44, I 71
- 2θ 36.16, I 63
- 2θ 14.17, I 51
- 2θ 43.42, I 26
- 2θ 27.32, I 23
- 2θ 49.82, I 19
- 2θ 61.12, I 11


Record 6
Computed X-ray diffraction stick pattern
Compound: Mn3CdTe4
Radiation: a wavelength of 1.5418 Å
Structure: a cell relaxed with PBE
Neutral-atom scattering factors, no anomalous dispersion.

Crystal structure
Unit cell a=4.165 b=4.165 c=11.928 alpha=90.00 beta=90.00 gamma=90.00
Positions (direct):
1 Mn 0.000 0.000 0.000
2 Mn 0.500 0.500 0.249
3 Mn 0.500 0.500 0.751
4 Cd 0.000 0.000 0.500
5 Te 0.000 0.000 0.240
6 Te 0.000 0.000 0.760
7 Te 0.500 0.500 0.000
8 Te 0.500 0.500 0.500

Most intense lines, 2θ from 5° to 70°, most intense first:
- 2θ 30.35, I 1000
- 2θ 43.17, I 732
- 2θ 29.97, I 507
- 2θ 53.68, I 378
- 2θ 43.46, I 366
- 2θ 26.10, I 208
- 2θ 63.14, I 116
- 2θ 51.39, I 70
- 2θ 62.27, I 56
- 2θ 31.10, I 32
- 2θ 50.90, I 31
- 2θ 7.41, I 31


What did the fifth record say?
Computed X-ray diffraction stick pattern
Compound: Eu2Zr2O7
Radiation: a wavelength of 1.5418 Å
Structure: a cell relaxed with PBE
Neutral-atom scattering factors, no anomalous dispersion.

Crystal structure
Unit cell a=7.657 b=7.657 c=7.657 alpha=60.00 beta=60.00 gamma=60.00
Positions (direct):
1 Eu 0.000 0.000 0.000
2 Eu 0.000 0.000 0.500
3 Eu 0.000 0.500 0.000
4 Eu 0.500 0.000 0.000
5 Zr 0.000 0.500 0.500
6 Zr 0.500 0.000 0.500
7 Zr 0.500 0.500 0.000
8 Zr 0.500 0.500 0.500
9 O 0.125 0.125 0.125
10 O 0.165 0.165 0.585
11 O 0.165 0.585 0.165
12 O 0.165 0.585 0.585
13 O 0.415 0.415 0.835
14 O 0.415 0.835 0.415
15 O 0.415 0.835 0.835
16 O 0.585 0.165 0.165
17 O 0.585 0.165 0.585
18 O 0.585 0.585 0.165
19 O 0.835 0.415 0.415
20 O 0.835 0.415 0.835
21 O 0.835 0.835 0.415
22 O 0.875 0.875 0.875

Most intense lines, 2θ from 5° to 70°, most intense first:
- 2θ 28.56, I 1000
- 2θ 47.50, I 489
- 2θ 56.36, I 436
- 2θ 33.09, I 318
- 2θ 59.11, I 98
- 2θ 69.44, I 71
- 2θ 36.16, I 63
- 2θ 14.17, I 51
- 2θ 43.42, I 26
- 2θ 27.32, I 23
- 2θ 49.82, I 19
- 2θ 61.12, I 11


Please write out number 3 again, unchanged.
Computed X-ray diffraction stick pattern
Compound: SrBiO3
Radiation: a wavelength of 1.5418 Å
Structure: a cell relaxed with PBE
Neutral-atom scattering factors, no anomalous dispersion.

Crystal structure
Unit cell a=6.011 b=6.204 c=10.490 alpha=90.00 beta=124.92 gamma=90.00
Positions (direct):
1 Sr 0.237 0.051 0.251
2 Sr 0.237 0.449 0.751
3 Sr 0.763 0.551 0.249
4 Sr 0.763 0.949 0.749
5 Bi 0.000 0.000 0.500
6 Bi 0.000 0.500 0.000
7 Bi 0.500 0.000 0.000
8 Bi 0.500 0.500 0.500
9 O 0.129 0.212 0.940
10 O 0.129 0.288 0.440
11 O 0.237 0.693 0.946
12 O 0.237 0.807 0.446
13 O 0.346 0.045 0.739
14 O 0.346 0.455 0.239
15 O 0.654 0.545 0.761
16 O 0.654 0.955 0.261
17 O 0.763 0.193 0.554
18 O 0.763 0.307 0.054
19 O 0.871 0.712 0.560
20 O 0.871 0.788 0.060

Most intense lines, 2θ from 5° to 70°, most intense first:
- 2θ 29.31, I 1000
- 2θ 20.60, I 391
- 2θ 28.78, I 240
- 2θ 52.50, I 238
- 2θ 29.72, I 233
- 2θ 41.85, I 231
- 2θ 51.33, I 186
- 2θ 60.80, I 137
- 2θ 42.02, I 125
- 2θ 52.31, I 116
- 2θ 51.73, I 114
- 2θ 69.03, I 102